Starting from a structure optimized by DFT (GGA+U), the powder diffractogram of La3WCl3O6 was simulated for Cu Kα, 1.54184 Å.

Largest 6 diffraction maxima, by angle, 2θ from 10° to 90°:
| Position (°2θ) | d (Å) | I/Imax | index |
| --- | --- | --- | --- |
| 10.74 | 8.238 | 55 | 1 0 0 |
| 24.78 | 3.592 | 51 | 1 1 1 |
| 27.08 | 3.293 | 56 | 2 0 1 |
| 32.65 | 2.743 | 47 | 0 0 2 |
| 33.09 | 2.707 | 100 | 1 2 1 |
| 44.01 | 2.058 | 44 | 1 2 2 |

```
La3WCl3O6
1.0
9.513 0.000 0.000
-4.756 8.238 0.000
0.000 0.000 5.481
La W Cl O
6 2 6 12
Direct
0.089 0.685 0.250
0.315 0.405 0.250
0.405 0.089 0.750
0.595 0.911 0.250
0.685 0.595 0.750
0.911 0.315 0.750
0.333 0.667 0.750
0.667 0.333 0.250
0.048 0.807 0.750
0.193 0.242 0.750
0.242 0.048 0.250
0.758 0.952 0.750
0.807 0.758 0.250
0.952 0.193 0.250
0.161 0.526 0.520
0.161 0.526 0.980
0.365 0.839 0.520
0.365 0.839 0.980
0.474 0.635 0.520
0.474 0.635 0.980
0.526 0.365 0.020
0.526 0.365 0.480
0.635 0.161 0.020
0.635 0.161 0.480
0.839 0.474 0.020
0.839 0.474 0.480
```